For CaPmZn4, a GGA-PBE-relaxed structure gives the theoretical X-ray diffraction stick pattern in this record (a wavelength of 1.5418 Å).
Lines closer than 0.1° are merged.

Cell and atoms:
```
6
Lattice="-2.268 3.710 3.883 2.268 -3.710 3.883 2.268 3.710 -3.883" Properties=species:S:1:pos:R:3 pbc="T T T"
Ca 0.000 0.000 0.000
Pm 0.000 3.710 0.000
Zn 2.268 1.928 -1.298
Zn 2.268 1.928 1.298
Zn 0.000 1.782 2.585
Zn 0.000 1.782 5.181
```

Main lines, by angle (2θ = 10–90°):
16.52 deg, d 5.365, intensity 31
33.26 deg, d 2.694, intensity 100
33.40 deg, d 2.682, intensity 50
39.74 deg, d 2.268, intensity 32
40.10 deg, d 2.248, intensity 61
65.20 deg, d 1.431, intensity 27



For Tm8Si3Te4H, a GGA-PBE-relaxed structure gives the theoretical X-ray diffraction stick pattern in this record (a wavelength of 1.5418 Å).
Lines closer than 0.1° are merged.

Cell and atoms:
```
16
Lattice="4.117 2.377 6.934 -4.117 2.377 6.934 0.000 -4.754 6.934" Properties=species:S:1:pos:R:3 pbc="T T T"
Tm -2.102 -1.213 11.908
Tm 0.000 0.000 4.968
Tm 0.000 -2.427 8.894
Tm -2.102 1.213 8.894
Tm 2.102 -1.213 11.908
Tm 0.000 2.427 11.908
Tm 0.000 0.000 15.835
Tm 2.102 1.213 8.894
Si -4.117 0.000 10.401
Si -2.058 1.188 3.467
Si 2.058 1.188 3.467
Te 0.000 0.000 0.000
Te -2.058 -1.188 6.934
Te -2.058 1.188 13.868
Te 0.000 2.377 6.934
H 0.000 0.000 10.401
```

Main lines, by angle (2θ = 10–90°):
26.43 deg, d 3.373, intensity 22
30.40 deg, d 2.941, intensity 100
33.09 deg, d 2.707, intensity 17
43.05 deg, d 2.101, intensity 33
43.99 deg, d 2.058, intensity 38
54.41 deg, d 1.686, intensity 19